For Tm7Ni2Ru2, a crystal structure in Alexandria, relaxed with PBE gives the calculated PXRD pattern in this record (CuKα).

Principal peaks in the range 2θ from 10° to 90°, in order of rising 2θ:
hkl 2 0 1, 2θ 25.69, rel. 32.9; hkl 2 2 0, 2θ 28.16, rel. 67.0; hkl 1 1 2, 2θ 30.13, rel. 36.5; hkl 2 0 2, 2θ 34.71, rel. 17.9; hkl 0 4 0, 2θ 35.29, rel. 53.6; hkl 2 2 2, 2θ 39.10, rel. 100.0; hkl 1 3 2, 2θ 39.37, rel. 30.4; hkl 4 0 0, 2θ 44.74, rel. 36.4; hkl 4 4 0, 2θ 58.23, rel. 24.1; hkl 0 4 4, 2θ 66.80, rel. 17.9

Structural model:
```
data_Tm7Ni2Ru2
_chemical_formula_sum 'Tm14 Ni4 Ru4'
_space_group_name_H-M_alt 'C m m m'
_space_group_IT_number 65
_space_group_name_Hall '-C 2 2'
_cell_length_a 8.101
_cell_length_b 10.174
_cell_length_c 6.712
_cell_angle_alpha 90.00
_cell_angle_beta 90.00
_cell_angle_gamma 90.00
loop_
_atom_site_label
_atom_site_fract_x
_atom_site_fract_y
_atom_site_fract_z
Tm1 0.000 0.000 0.000
Tm2 0.000 0.500 0.256
Tm3 0.250 0.250 0.261
Ni1 0.220 0.000 0.500
Ru1 0.000 0.280 0.000
```

For U2Ni9Ru, a crystal structure in Alexandria, relaxed with PBE gives the calculated PXRD pattern in this record (CuKα).

Principal peaks in the range 2θ from 10° to 90°, in order of rising 2θ:
hkl 1 1 0, 2θ 20.91, rel. 57.4; hkl 0 2 0, 2θ 24.20, rel. 20.4; hkl 1 1 2, 2θ 30.11, rel. 19.1; hkl 1 1 3, 2θ 38.86, rel. 20.3; hkl 0 2 3, 2θ 40.83, rel. 100.0; hkl 2 2 0, 2θ 42.57, rel. 95.4; hkl 2 0 3, 2θ 48.01, rel. 62.0; hkl 0 4 0, 2θ 49.57, rel. 30.3; hkl 2 4 3, 2θ 71.49, rel. 36.6; hkl 4 2 3, 2θ 86.89, rel. 23.8

Structural model:
```
data_U2Ni9Ru
_chemical_formula_sum 'U4 Ni18 Ru2'
_space_group_name_H-M_alt 'C m m m'
_space_group_IT_number 65
_space_group_name_Hall '-C 2 2'
_cell_length_a 5.203
_cell_length_b 7.355
_cell_length_c 8.296
_cell_angle_alpha 90.00
_cell_angle_beta 90.00
_cell_angle_gamma 90.00
loop_
_atom_site_label
_atom_site_fract_x
_atom_site_fract_y
_atom_site_fract_z
U1 0.000 0.000 0.188
Ni1 0.000 0.500 0.162
Ni2 0.000 0.500 0.500
Ni3 0.250 0.250 0.000
Ni4 0.250 0.250 0.343
Ru1 0.000 0.000 0.500
```

For V3NiRu2, a crystal structure in Alexandria, relaxed with PBE gives the calculated PXRD pattern in this record (CuKα).

Principal peaks in the range 2θ from 10° to 90°, in order of rising 2θ:
hkl 0 0 2, 2θ 30.00, rel. 17.1; hkl 0 6 0, 2θ 42.54, rel. 22.8; hkl 1 3 2, 2θ 42.94, rel. 100.0; hkl 2 0 0, 2θ 43.35, rel. 26.0; hkl 0 0 4, 2θ 62.35, rel. 21.5; hkl 1 3 4, 2θ 70.73, rel. 4.3; hkl 1 9 2, 2θ 78.14, rel. 10.9; hkl 0 6 4, 2θ 78.41, rel. 6.4; hkl 2 0 4, 2θ 78.97, rel. 7.5; hkl 3 3 2, 2θ 79.26, rel. 14.9

Structural model:
```
data_V3NiRu2
_chemical_formula_sum 'V12 Ni4 Ru8'
_space_group_name_H-M_alt 'C m m m'
_space_group_IT_number 65
_space_group_name_Hall '-C 2 2'
_cell_length_a 4.175
_cell_length_b 12.750
_cell_length_c 5.957
_cell_angle_alpha 90.00
_cell_angle_beta 90.00
_cell_angle_gamma 90.00
loop_
_atom_site_label
_atom_site_fract_x
_atom_site_fract_y
_atom_site_fract_z
V1 0.000 0.000 0.239
V2 0.000 0.322 0.271
Ni1 0.000 0.141 0.500
Ru1 0.000 0.167 0.000
Ru2 0.000 0.500 0.000
Ru3 0.000 0.500 0.500
```

For V2Ni3Ru3, a crystal structure in Alexandria, relaxed with PBE gives the calculated PXRD pattern in this record (CuKα).

Principal peaks in the range 2θ from 10° to 90°, in order of rising 2θ:
hkl 1 1 0, 2θ 27.16, rel. 21.4; hkl 2 0 2, 2θ 38.36, rel. 41.6; hkl 1 1 3, 2θ 42.70, rel. 100.0; hkl 2 1 1, 2θ 43.49, rel. 95.0; hkl 1 0 4, 2θ 46.52, rel. 25.5; hkl 1 2 2, 2θ 47.63, rel. 48.2; hkl 3 0 0, 2θ 48.00, rel. 19.0; hkl 1 2 5, 2θ 71.78, rel. 20.0; hkl 3 2 1, 2θ 73.49, rel. 16.4; hkl 4 0 4, 2θ 82.15, rel. 20.2

Structural model:
```
data_V2Ni3Ru3
_chemical_formula_sum 'V6 Ni9 Ru9'
_space_group_name_H-M_alt 'R 3 2'
_space_group_IT_number 155
_space_group_name_Hall 'R 3 2"'
_cell_length_a 6.5655
_cell_length_b 6.5655
_cell_length_c 8.3141
_cell_angle_alpha 90.00
_cell_angle_beta 90.00
_cell_angle_gamma 120.00
loop_
_atom_site_label
_atom_site_fract_x
_atom_site_fract_y
_atom_site_fract_z
V1 0.0000 0.0000 0.2472
Ni1 0.0000 0.2293 0.5000
Ru1 0.0000 0.7423 0.0000
```

For V4Ni12Ru, a crystal structure in Alexandria, relaxed with PBE gives the calculated PXRD pattern in this record (CuKα).

Principal peaks in the range 2θ from 10° to 90°, in order of rising 2θ:
hkl 2 0 0, 2θ 23.85, rel. 21.3; hkl 3 1 0, 2θ 38.14, rel. 19.5; hkl 2 2 2, 2θ 41.95, rel. 100.0; hkl 3 2 1, 2θ 45.49, rel. 33.0; hkl 4 0 0, 2θ 48.82, rel. 72.7; hkl 3 3 0, 2θ 52.00, rel. 17.1; hkl 3 3 2, 2θ 57.98, rel. 24.5; hkl 4 4 0, 2θ 71.54, rel. 32.8; hkl 6 2 2, 2θ 86.53, rel. 18.6; hkl 6 3 1, 2θ 88.98, rel. 14.7

Structural model:
```
data_V4Ni12Ru
_chemical_formula_sum 'V8 Ni24 Ru2'
_space_group_name_H-M_alt 'I m -3 m'
_space_group_IT_number 229
_space_group_name_Hall '-I 4 2 3'
_cell_length_a 7.461
_cell_length_b 7.461
_cell_length_c 7.461
_cell_angle_alpha 90.00
_cell_angle_beta 90.00
_cell_angle_gamma 90.00
loop_
_atom_site_label
_atom_site_fract_x
_atom_site_fract_y
_atom_site_fract_z
V1 0.250 0.250 0.250
Ni1 0.000 0.000 0.308
Ni2 0.000 0.250 0.500
Ru1 0.000 0.000 0.000
```

For ZnNi6Ru, a crystal structure in Alexandria, relaxed with PBE gives the calculated PXRD pattern in this record (CuKα).

Principal peaks in the range 2θ from 10° to 90°, in order of rising 2θ:
hkl 1 1 0, 2θ 15.10, rel. 0.7; hkl 2 0 0, 2θ 24.76, rel. 2.1; hkl 0 4 0, 2θ 35.30, rel. 1.7; hkl 2 4 0, 2θ 43.59, rel. 100.0; hkl 0 4 4, 2θ 50.74, rel. 31.3; hkl 4 0 0, 2θ 50.84, rel. 15.6; hkl 0 6 2, 2θ 57.26, rel. 0.6; hkl 2 6 2, 2θ 63.34, rel. 0.6; hkl 0 8 0, 2θ 74.59, rel. 9.1; hkl 4 4 4, 2θ 74.68, rel. 18.2

Structural model:
```
data_ZnNi6Ru
_chemical_formula_sum 'Zn8 Ni48 Ru8'
_space_group_name_H-M_alt 'C m m m'
_space_group_IT_number 65
_space_group_name_Hall '-C 2 2'
_cell_length_a 7.183
_cell_length_b 10.173
_cell_length_c 10.183
_cell_angle_alpha 90.00
_cell_angle_beta 90.00
_cell_angle_gamma 90.00
loop_
_atom_site_label
_atom_site_fract_x
_atom_site_fract_y
_atom_site_fract_z
Zn1 0.000 0.000 0.248
Zn2 0.000 0.250 0.000
Ni1 0.000 0.000 0.000
Ni2 0.000 0.000 0.500
Ni3 0.000 0.251 0.250
Ni4 0.000 0.500 0.000
Ni5 0.000 0.500 0.500
Ni6 0.250 0.124 0.125
Ni7 0.250 0.125 0.375
Ru1 0.000 0.251 0.500
Ru2 0.000 0.500 0.246
```

For Zn2Ni2Ru, a crystal structure in Alexandria, relaxed with PBE gives the calculated PXRD pattern in this record (CuKα).

Principal peaks in the range 2θ from 10° to 90°, in order of rising 2θ:
hkl 2 2 0, 2θ 36.20, rel. 29.3; hkl 3 1 0, 2θ 40.64, rel. 98.0; hkl 2 0 1, 2θ 43.37, rel. 55.1; hkl 2 1 1, 2θ 45.34, rel. 100.0; hkl 3 2 0, 2θ 46.65, rel. 15.5; hkl 4 1 0, 2θ 53.85, rel. 12.4; hkl 3 1 1, 2θ 54.39, rel. 15.6; hkl 3 3 1, 2θ 67.09, rel. 13.5; hkl 5 1 1, 2θ 78.68, rel. 23.5; hkl 3 1 2, 2θ 87.00, rel. 29.0

Structural model:
```
data_Zn2Ni2Ru
_chemical_formula_sum 'Zn4 Ni4 Ru2'
_space_group_name_H-M_alt 'P 4/m b m'
_space_group_IT_number 127
_space_group_name_Hall '-P 4 2ab'
_cell_length_a 7.019
_cell_length_b 7.019
_cell_length_c 2.595
_cell_angle_alpha 90.00
_cell_angle_beta 90.00
_cell_angle_gamma 90.00
loop_
_atom_site_label
_atom_site_fract_x
_atom_site_fract_y
_atom_site_fract_z
Zn1 0.174 0.326 0.000
Ni1 0.123 0.623 0.500
Ru1 0.000 0.000 0.500
```

For ZnNiRu2, a crystal structure in Alexandria, relaxed with PBE gives the calculated PXRD pattern in this record (CuKα).

Principal peaks in the range 2θ from 10° to 90°, in order of rising 2θ:
hkl 1 0 1, 2θ 26.61, rel. 7.1; hkl 1 1 2, 2θ 41.76, rel. 100.0; hkl 1 0 3, 2θ 43.51, rel. 1.9; hkl 0 0 4, 2θ 48.52, rel. 16.0; hkl 2 0 0, 2θ 48.65, rel. 31.7; hkl 2 1 1, 2θ 56.31, rel. 1.8; hkl 2 0 4, 2θ 71.16, rel. 19.3; hkl 2 2 0, 2θ 71.27, rel. 9.6; hkl 1 1 6, 2θ 85.95, rel. 11.6; hkl 3 1 2, 2θ 86.15, rel. 23.1

Structural model:
```
data_ZnNiRu2
_chemical_formula_sum 'Zn2 Ni2 Ru4'
_space_group_name_H-M_alt 'I -4 m 2'
_space_group_IT_number 119
_space_group_name_Hall 'I -4 -2'
_cell_length_a 3.743
_cell_length_b 3.743
_cell_length_c 7.506
_cell_angle_alpha 90.00
_cell_angle_beta 90.00
_cell_angle_gamma 90.00
loop_
_atom_site_label
_atom_site_fract_x
_atom_site_fract_y
_atom_site_fract_z
Zn1 0.000 0.000 0.000
Ni1 0.000 0.500 0.750
Ru1 0.000 0.000 0.500
Ru2 0.000 0.500 0.250
```

For ZrNi2Ru, a crystal structure in Alexandria, relaxed with PBE gives the calculated PXRD pattern in this record (CuKα).

Principal peaks in the range 2θ from 10° to 90°, in order of rising 2θ:
hkl 0 0 2, 2θ 23.27, rel. 4.6; hkl 1 1 0, 2θ 32.91, rel. 3.6; hkl 1 1 2, 2θ 40.70, rel. 100.0; hkl 2 0 0, 2θ 47.24, rel. 32.1; hkl 0 0 4, 2θ 47.57, rel. 15.7; hkl 2 2 0, 2θ 69.03, rel. 9.7; hkl 2 0 4, 2θ 69.29, rel. 19.3; hkl 3 1 2, 2θ 83.33, rel. 22.8; hkl 1 1 6, 2θ 83.83, rel. 11.3; hkl 2 2 4, 2θ 88.13, rel. 10.1

Structural model:
```
data_ZrNi2Ru
_chemical_formula_sum 'Zr2 Ni4 Ru2'
_space_group_name_H-M_alt 'I 4/m m m'
_space_group_IT_number 139
_space_group_name_Hall '-I 4 2'
_cell_length_a 3.848
_cell_length_b 3.848
_cell_length_c 7.646
_cell_angle_alpha 90.00
_cell_angle_beta 90.00
_cell_angle_gamma 90.00
loop_
_atom_site_label
_atom_site_fract_x
_atom_site_fract_y
_atom_site_fract_z
Zr1 0.000 0.000 0.000
Ni1 0.000 0.500 0.250
Ru1 0.000 0.000 0.500
```

For NiS, a crystal structure in Alexandria, relaxed with PBE gives the calculated PXRD pattern in this record (CuKα).

Principal peaks in the range 2θ from 10° to 90°, in order of rising 2θ:
hkl 1 1 0, 2θ 18.46, rel. 100.0; hkl 2 0 0, 2θ 26.23, rel. 23.8; hkl 2 1 1, 2θ 32.27, rel. 17.2; hkl 3 1 0, 2θ 42.05, rel. 52.6; hkl 2 2 2, 2θ 46.28, rel. 12.7; hkl 3 2 1, 2θ 50.23, rel. 27.6; hkl 4 0 0, 2θ 53.97, rel. 10.6; hkl 3 3 0, 2θ 57.54, rel. 31.6; hkl 4 3 1, 2θ 70.68, rel. 12.9; hkl 6 1 1, 2θ 88.74, rel. 11.4

Structural model:
```
data_NiS
_chemical_formula_sum 'Ni8 S8'
_space_group_name_H-M_alt 'I -4 3 m'
_space_group_IT_number 217
_space_group_name_Hall 'I -4 2 3'
_cell_length_a 6.796
_cell_length_b 6.796
_cell_length_c 6.796
_cell_angle_alpha 90.00
_cell_angle_beta 90.00
_cell_angle_gamma 90.00
loop_
_atom_site_label
_atom_site_fract_x
_atom_site_fract_y
_atom_site_fract_z
Ni1 0.140 0.140 0.860
S1 0.181 0.181 0.181
```

For Ni6S5, a crystal structure in Alexandria, relaxed with PBE gives the calculated PXRD pattern in this record (CuKα).

Principal peaks in the range 2θ from 10° to 90°, in order of rising 2θ:
hkl 0 2 2, 2θ 18.75, rel. 39.9; hkl 0 2 4, 2θ 26.73, rel. 60.9; hkl 1 1 2, 2θ 30.13, rel. 70.7; hkl 1 1 3, 2θ 32.61, rel. 100.0; hkl 1 3 1, 2θ 36.10, rel. 30.2; hkl 1 3 5, 2θ 45.54, rel. 39.2; hkl 1 1 7, 2θ 48.46, rel. 79.7; hkl 1 3 6, 2θ 49.37, rel. 37.6; hkl 1 5 3, 2θ 50.83, rel. 47.4; hkl 2 0 0, 2θ 55.51, rel. 44.3

Structural model:
```
data_Ni6S5
_chemical_formula_sum 'Ni24 S20'
_space_group_name_H-M_alt 'C m c 21'
_space_group_IT_number 36
_space_group_name_Hall 'C 2c -2'
_cell_length_a 3.311
_cell_length_b 11.632
_cell_length_c 16.285
_cell_angle_alpha 90.00
_cell_angle_beta 90.00
_cell_angle_gamma 90.00
loop_
_atom_site_label
_atom_site_fract_x
_atom_site_fract_y
_atom_site_fract_z
Ni1 0.000 0.021 0.000
Ni2 0.000 0.178 0.893
Ni3 0.000 0.181 0.459
Ni4 0.000 0.360 0.180
Ni5 0.000 0.427 0.611
Ni6 0.000 0.447 0.760
S1 0.000 0.090 0.776
S2 0.000 0.114 0.588
S3 0.000 0.158 0.186
S4 0.000 0.364 0.483
S5 0.000 0.364 0.879
```

For Ni9S8, a crystal structure in Alexandria, relaxed with PBE gives the calculated PXRD pattern in this record (CuKα).

Principal peaks in the range 2θ from 10° to 90°, in order of rising 2θ:
hkl 1 3 1, 2θ 27.54, rel. 56.9; hkl 1 1 3, 2θ 31.22, rel. 56.2; hkl 3 1 1, 2θ 31.53, rel. 100.0; hkl 4 0 0, 2θ 38.89, rel. 27.3; hkl 1 5 0, 2θ 41.63, rel. 26.1; hkl 4 2 1, 2θ 43.38, rel. 35.2; hkl 0 4 4, 2θ 50.86, rel. 66.7; hkl 4 4 0, 2θ 51.26, rel. 66.5; hkl 0 2 5, 2θ 51.39, rel. 28.0; hkl 4 0 4, 2θ 55.76, rel. 72.8

Structural model:
```
data_Ni9S8
_chemical_formula_sum 'Ni36 S32'
_space_group_name_H-M_alt 'C 2 2 2'
_space_group_IT_number 21
_space_group_name_Hall 'C 2 2'
_cell_length_a 9.266
_cell_length_b 11.157
_cell_length_c 9.385
_cell_angle_alpha 90.00
_cell_angle_beta 90.00
_cell_angle_gamma 90.00
loop_
_atom_site_label
_atom_site_fract_x
_atom_site_fract_y
_atom_site_fract_z
Ni1 0.000 0.000 0.000
Ni2 0.000 0.000 0.285
Ni3 0.000 0.235 0.000
Ni4 0.000 0.500 0.500
Ni5 0.125 0.416 0.125
Ni6 0.127 0.185 0.378
Ni7 0.224 0.000 0.500
Ni8 0.250 0.250 0.769
S1 0.118 0.151 0.619
S2 0.119 0.378 0.886
S3 0.132 0.384 0.364
S4 0.134 0.115 0.139
```

Question: What is the formula in the ninth record?
Answer: ZrNi2Ru